No. 1
Starting from a cell relaxed with PBE+U, the XRD peak list of CaSmNi4O12 was computed for Cu Kα.
Neutral-atom scattering factors, no anomalous dispersion.

Most intense lines, 10 to 80 degrees two-theta, by intensity:
- (1 1 2), d = 2.671 Å, 33.55 deg, intensity 100
- (1 0 1), d = 4.357 Å, 20.38 deg, intensity 88
- (2 0 0), d = 2.663 Å, 33.66 deg, intensity 50
- (2 2 0), d = 1.883 Å, 48.34 deg, intensity 46
- (3 1 2), d = 1.539 Å, 60.13 deg, intensity 37
- (2 1 1), d = 2.272 Å, 39.67 deg, intensity 31

Structural model:
```
data_CaSmNi4O12
_chemical_formula_sum 'Ca1 Sm1 Ni4 O12'
_symmetry_space_group_name_H-M 'P 4/m m m'
_symmetry_Int_Tables_number 123
_symmetry_space_group_name_Hall '-P 4 2'
_cell_length_a 5.3251
_cell_length_b 5.3251
_cell_length_c 7.5774
_cell_angle_alpha 90.00
_cell_angle_beta 90.00
_cell_angle_gamma 90.00
loop_
_atom_site_label
_atom_site_type_symbol
_atom_site_fract_x
_atom_site_fract_y
_atom_site_fract_z
_atom_site_occupancy
Ca1 Ca 0.0000 0.0000 0.0000 1
Sm1 Sm 0.5000 0.5000 0.5000 1
Ni1 Ni 0.0000 0.5000 0.2481 1
O1 O 0.0000 0.5000 0.0000 1
O2 O 0.0000 0.5000 0.5000 1
O3 O 0.2587 0.2587 0.2598 1
```

---

No. 2
Starting from a cell relaxed with PBE+U, the XRD peak list of SrCaNi4O12 was computed for Cu Kα.
Neutral-atom scattering factors, no anomalous dispersion.

Most intense lines, 10 to 80 degrees two-theta, by intensity:
- (2 0 0), d = 2.696 Å, 33.22 deg, intensity 100
- (1 1 0), d = 3.813 Å, 23.33 deg, intensity 49
- (1 0 1), d = 4.403 Å, 20.17 deg, intensity 39
- (2 0 4), d = 1.557 Å, 59.36 deg, intensity 37
- (2 2 0), d = 1.908 Å, 47.66 deg, intensity 36
- (4 0 0), d = 1.348 Å, 69.75 deg, intensity 29

Structural model:
```
data_SrCaNi4O12
_chemical_formula_sum 'Sr1 Ca1 Ni4 O12'
_symmetry_space_group_name_H-M 'P 4/m m m'
_symmetry_Int_Tables_number 123
_symmetry_space_group_name_Hall '-P 4 2'
_cell_length_a 5.3972
_cell_length_b 5.3972
_cell_length_c 7.6149
_cell_angle_alpha 90.00
_cell_angle_beta 90.00
_cell_angle_gamma 90.00
loop_
_atom_site_label
_atom_site_type_symbol
_atom_site_fract_x
_atom_site_fract_y
_atom_site_fract_z
_atom_site_occupancy
Sr1 Sr 0.0000 0.0000 0.0000 1
Ca1 Ca 0.5000 0.5000 0.5000 1
Ni1 Ni 0.0000 0.5000 0.2507 1
O1 O 0.0000 0.5000 0.0000 1
O2 O 0.0000 0.5000 0.5000 1
O3 O 0.2556 0.2556 0.2572 1
```

---

No. 3
Starting from a cell relaxed with PBE+U, the XRD peak list of SrCaTbNiO6 was computed for Cu Kα.
Neutral-atom scattering factors, no anomalous dispersion.

Most intense lines, 10 to 80 degrees two-theta, by intensity:
- (2 2 0), d = 2.852 Å, 31.37 deg, intensity 100
- (4 2 2), d = 1.646 Å, 55.84 deg, intensity 38
- (4 0 0), d = 2.017 Å, 44.95 deg, intensity 34
- (4 4 0), d = 1.426 Å, 65.46 deg, intensity 20
- (2 0 0), d = 4.033 Å, 22.04 deg, intensity 19
- (6 2 0), d = 1.275 Å, 74.38 deg, intensity 17

Structural model:
```
data_SrCaTbNiO6
_chemical_formula_sum 'Sr4 Ca4 Tb4 Ni4 O24'
_symmetry_space_group_name_H-M 'F -4 3 m'
_symmetry_Int_Tables_number 216
_symmetry_space_group_name_Hall 'F -4 2 3'
_cell_length_a 8.0661
_cell_length_b 8.0661
_cell_length_c 8.0661
_cell_angle_alpha 90.00
_cell_angle_beta 90.00
_cell_angle_gamma 90.00
loop_
_atom_site_label
_atom_site_type_symbol
_atom_site_fract_x
_atom_site_fract_y
_atom_site_fract_z
_atom_site_occupancy
Sr1 Sr 0.0000 0.0000 0.0000 1
Ca1 Ca 0.0000 0.0000 0.5000 1
Tb1 Tb 0.2500 0.2500 0.2500 1
Ni1 Ni 0.2500 0.2500 0.7500 1
O1 O 0.0208 0.2500 0.7500 1
```

---

No. 4
Starting from a cell relaxed with PBE+U, the XRD peak list of SrCaNiWO6 was computed for Cu Kα.
Neutral-atom scattering factors, no anomalous dispersion.

Most intense lines, 10 to 80 degrees two-theta, by intensity:
- (1 1 1), d = 2.799 Å, 31.98 deg, intensity 100
- (3 1 -1), d = 1.610 Å, 57.20 deg, intensity 33
- (2 2 -2), d = 1.984 Å, 45.74 deg, intensity 29
- (0 2 0), d = 2.826 Å, 31.66 deg, intensity 25
- (0 1 1), d = 4.596 Å, 19.31 deg, intensity 25
- (2 0 -2), d = 2.785 Å, 32.14 deg, intensity 24

Structural model:
```
data_SrCaNiWO6
_chemical_formula_sum 'Sr2 Ca2 Ni2 W2 O12'
_symmetry_space_group_name_H-M 'P 1 c 1'
_symmetry_Int_Tables_number 7
_symmetry_space_group_name_Hall 'P -2yc'
_cell_length_a 5.5693
_cell_length_b 5.6527
_cell_length_c 9.6578
_cell_angle_alpha 90.00
_cell_angle_beta 125.15
_cell_angle_gamma 90.00
loop_
_atom_site_label
_atom_site_type_symbol
_atom_site_fract_x
_atom_site_fract_y
_atom_site_fract_z
_atom_site_occupancy
Sr1 Sr 0.0000 0.2189 0.0000 1
Ca1 Ca 0.5191 0.2987 0.5036 1
Ni1 Ni 0.7561 0.2476 0.2507 1
W1 W 0.2549 0.2493 0.7497 1
O1 O 0.0090 0.4775 0.2127 1
O2 O 0.1014 0.2337 0.5097 1
O3 O 0.4334 0.2749 0.9916 1
O4 O 0.4924 0.0338 0.2952 1
O5 O 0.5622 0.4596 0.7830 1
O6 O 0.9293 0.0538 0.7085 1
```

---

No. 5
Starting from a cell relaxed with PBE+U, the XRD peak list of Ca2TaNiO6 was computed for Cu Kα.
Neutral-atom scattering factors, no anomalous dispersion.

Most intense lines, 10 to 80 degrees two-theta, by intensity:
- (1 2 1), d = 2.730 Å, 32.80 deg, intensity 100
- (1 2 -1), d = 2.771 Å, 32.30 deg, intensity 71
- (1 0 1), d = 3.863 Å, 23.02 deg, intensity 67
- (0 4 0), d = 1.932 Å, 47.04 deg, intensity 40
- (1 0 -1), d = 3.976 Å, 22.36 deg, intensity 37
- (0 0 2), d = 2.815 Å, 31.79 deg, intensity 35

Structural model:
```
data_Ca2TaNiO6
_chemical_formula_sum 'Ca4 Ta2 Ni2 O12'
_symmetry_space_group_name_H-M 'P 1 21/m 1'
_symmetry_Int_Tables_number 11
_symmetry_space_group_name_Hall '-P 2yb'
_cell_length_a 5.4574
_cell_length_b 7.7291
_cell_length_c 5.6327
_cell_angle_alpha 90.00
_cell_angle_beta 91.67
_cell_angle_gamma 90.00
loop_
_atom_site_label
_atom_site_type_symbol
_atom_site_fract_x
_atom_site_fract_y
_atom_site_fract_z
_atom_site_occupancy
Ca1 Ca 0.0090 0.2500 0.4328 1
Ca2 Ca 0.4764 0.2500 0.9570 1
Ta1 Ta 0.5000 0.0000 0.5000 1
Ni1 Ni 0.0000 0.0000 0.0000 1
O1 O 0.0962 0.7500 0.9738 1
O2 O 0.2122 0.0442 0.6984 1
O3 O 0.2963 0.0471 0.2085 1
O4 O 0.4099 0.7500 0.4741 1
```

---

No. 6
Starting from a cell relaxed with PBE+U, the XRD peak list of CaNiWO6 was computed for Cu Kα.
Neutral-atom scattering factors, no anomalous dispersion.

Most intense lines, 10 to 80 degrees two-theta, by intensity:
- (1 1 -1), d = 3.739 Å, 23.80 deg, intensity 100
- (1 1 1), d = 2.643 Å, 33.92 deg, intensity 64
- (0 0 4), d = 1.869 Å, 48.71 deg, intensity 31
- (0 1 1), d = 4.344 Å, 20.45 deg, intensity 25
- (1 0 -2), d = 4.291 Å, 20.70 deg, intensity 25
- (0 2 0), d = 2.670 Å, 33.57 deg, intensity 16

Structural model:
```
data_CaNiWO6
_chemical_formula_sum 'Ca2 Ni2 W2 O12'
_symmetry_space_group_name_H-M 'P 1 c 1'
_symmetry_Int_Tables_number 7
_symmetry_space_group_name_Hall 'P -2yc'
_cell_length_a 5.2423
_cell_length_b 5.3393
_cell_length_c 9.1110
_cell_angle_alpha 90.00
_cell_angle_beta 124.93
_cell_angle_gamma 90.00
loop_
_atom_site_label
_atom_site_type_symbol
_atom_site_fract_x
_atom_site_fract_y
_atom_site_fract_z
_atom_site_occupancy
Ca1 Ca 0.0000 0.1973 0.0000 1
Ni1 Ni 0.2381 0.2485 0.7488 1
W1 W 0.7383 0.2642 0.2497 1
O1 O 0.0694 0.0395 0.2873 1
O2 O 0.4013 0.4630 0.2106 1
O3 O 0.4872 0.0413 0.7094 1
O4 O 0.5604 0.2611 0.9969 1
O5 O 0.9085 0.2411 0.5030 1
O6 O 0.9938 0.4556 0.7919 1
```

---

No. 7
Starting from a cell relaxed with PBE+U, the XRD peak list of CaNiWO6 was computed for Cu Kα.
Neutral-atom scattering factors, no anomalous dispersion.

Most intense lines, 10 to 80 degrees two-theta, by intensity:
- (0 1 1), d = 4.892 Å, 18.13 deg, intensity 100
- (0 0 2), d = 5.000 Å, 17.74 deg, intensity 49
- (0 1 3), d = 2.865 Å, 31.22 deg, intensity 24
- (2 1 3), d = 1.900 Å, 47.87 deg, intensity 23
- (1 0 1), d = 4.528 Å, 19.61 deg, intensity 22
- (1 1 2), d = 3.007 Å, 29.71 deg, intensity 20

Structural model:
```
data_CaNiWO6
_chemical_formula_sum 'Ca2 Ni2 W2 O12'
_symmetry_space_group_name_H-M 'P n n 2'
_symmetry_Int_Tables_number 34
_symmetry_space_group_name_Hall 'P 2 -2n'
_cell_length_a 5.0780
_cell_length_b 5.6094
_cell_length_c 9.9991
_cell_angle_alpha 90.00
_cell_angle_beta 90.00
_cell_angle_gamma 90.00
loop_
_atom_site_label
_atom_site_type_symbol
_atom_site_fract_x
_atom_site_fract_y
_atom_site_fract_z
_atom_site_occupancy
Ca1 Ca 0.0000 0.0000 0.0000 1
Ni1 Ni 0.0000 0.0000 0.6676 1
W1 W 0.0000 0.5000 0.1855 1
O1 O 0.2329 0.1117 0.8095 1
O2 O 0.2446 0.6528 0.0557 1
O3 O 0.2480 0.2402 0.1599 1
```

---

No. 8
Starting from a cell relaxed with PBE+U, the XRD peak list of Ca2NiWO6 was computed for Cu Kα.
Neutral-atom scattering factors, no anomalous dispersion.

Most intense lines, 10 to 80 degrees two-theta, by intensity:
- (1 1 1), d = 2.773 Å, 32.28 deg, intensity 100
- (1 1 -1), d = 3.922 Å, 22.67 deg, intensity 100
- (1 1 -3), d = 2.754 Å, 32.51 deg, intensity 98
- (0 1 1), d = 4.571 Å, 19.42 deg, intensity 60
- (2 2 -2), d = 1.961 Å, 46.29 deg, intensity 54
- (0 2 0), d = 2.823 Å, 31.70 deg, intensity 50

Structural model:
```
data_Ca2NiWO6
_chemical_formula_sum 'Ca4 Ni2 W2 O12'
_symmetry_space_group_name_H-M 'P 1 21/c 1'
_symmetry_Int_Tables_number 14
_symmetry_space_group_name_Hall '-P 2ybc'
_cell_length_a 5.4541
_cell_length_b 5.6454
_cell_length_c 9.4675
_cell_angle_alpha 90.00
_cell_angle_beta 124.64
_cell_angle_gamma 90.00
loop_
_atom_site_label
_atom_site_type_symbol
_atom_site_fract_x
_atom_site_fract_y
_atom_site_fract_z
_atom_site_occupancy
Ca1 Ca 0.2321 0.0554 0.2466 1
Ni1 Ni 0.0000 0.0000 0.5000 1
W1 W 0.5000 0.0000 0.0000 1
O1 O 0.1655 0.1940 0.9548 1
O2 O 0.2562 0.7155 0.9465 1
O3 O 0.3543 0.0319 0.7587 1
```

---

No. 9
Starting from a cell relaxed with PBE+U, the XRD peak list of Ca2NiWO6 was computed for Cu Kα.
Neutral-atom scattering factors, no anomalous dispersion.

Most intense lines, 10 to 80 degrees two-theta, by intensity:
- (3 1 -1), d = 2.793 Å, 32.05 deg, intensity 100
- (1 1 -1), d = 3.959 Å, 22.45 deg, intensity 58
- (2 2 -2), d = 1.980 Å, 45.83 deg, intensity 34
- (1 1 0), d = 4.595 Å, 19.32 deg, intensity 28
- (0 0 1), d = 4.535 Å, 19.58 deg, intensity 27
- (2 0 0), d = 3.940 Å, 22.57 deg, intensity 27

Structural model:
```
data_Ca2NiWO6
_chemical_formula_sum 'Ca4 Ni2 W2 O12'
_symmetry_space_group_name_H-M 'C 1 2 1'
_symmetry_Int_Tables_number 5
_symmetry_space_group_name_Hall 'C 2y'
_cell_length_a 9.6298
_cell_length_b 5.6558
_cell_length_c 5.5449
_cell_angle_alpha 90.00
_cell_angle_beta 125.10
_cell_angle_gamma 90.00
loop_
_atom_site_label
_atom_site_type_symbol
_atom_site_fract_x
_atom_site_fract_y
_atom_site_fract_z
_atom_site_occupancy
Ca1 Ca 0.2498 0.0000 0.2470 1
Ni1 Ni 0.0000 0.0511 0.5000 1
W1 W 0.0000 0.5532 0.0000 1
O1 O 0.0022 0.8072 0.2394 1
O2 O 0.0066 0.3179 0.2534 1
O3 O 0.2442 0.5659 0.2359 1
```

---

No. 10
Starting from a cell relaxed with PBE+U, the XRD peak list of Ca2NiWO6 was computed for Cu Kα.
Neutral-atom scattering factors, no anomalous dispersion.

Most intense lines, 10 to 80 degrees two-theta, by intensity:
- (0 1 1), d = 4.860 Å, 18.25 deg, intensity 100
- (1 0 -2), d = 4.636 Å, 19.15 deg, intensity 45
- (0 0 2), d = 4.907 Å, 18.08 deg, intensity 42
- (0 1 3), d = 2.824 Å, 31.69 deg, intensity 37
- (2 1 -1), d = 2.313 Å, 38.94 deg, intensity 24
- (2 1 1), d = 1.929 Å, 47.12 deg, intensity 21

Structural model:
```
data_Ca2NiWO6
_chemical_formula_sum 'Ca4 Ni2 W2 O12'
_symmetry_space_group_name_H-M 'P 1 21/c 1'
_symmetry_Int_Tables_number 14
_symmetry_space_group_name_Hall '-P 2ybc'
_cell_length_a 5.2597
_cell_length_b 5.5946
_cell_length_c 11.1104
_cell_angle_alpha 90.00
_cell_angle_beta 117.96
_cell_angle_gamma 90.00
loop_
_atom_site_label
_atom_site_type_symbol
_atom_site_fract_x
_atom_site_fract_y
_atom_site_fract_z
_atom_site_occupancy
Ca1 Ca 0.1833 0.0002 0.1824 1
Ni1 Ni 0.5000 0.0000 0.5000 1
W1 W 0.0000 0.0000 0.5000 1
O1 O 0.0958 0.1338 0.3618 1
O2 O 0.2027 0.7119 0.4990 1
O3 O 0.3708 0.1306 0.6392 1
```

---

No. 11
Starting from a cell relaxed with PBE+U, the XRD peak list of SrCaVP2O8 was computed for Cu Kα.
Neutral-atom scattering factors, no anomalous dispersion.

Most intense lines, 10 to 80 degrees two-theta, by intensity:
- (0 2 -2), d = 3.230 Å, 27.62 deg, intensity 100
- (1 1 1), d = 3.043 Å, 29.35 deg, intensity 58
- (1 0 -3), d = 2.907 Å, 30.76 deg, intensity 42
- (2 0 -1), d = 2.838 Å, 31.52 deg, intensity 39
- (-1 2 1), d = 2.726 Å, 32.86 deg, intensity 38
- (2 -1 0), d = 2.759 Å, 32.45 deg, intensity 32

Structural model:
```
data_SrCaVP2O8
_chemical_formula_sum 'Sr2 Ca2 V2 P4 O16'
_symmetry_space_group_name_H-M 'P -1'
_symmetry_Int_Tables_number 2
_symmetry_space_group_name_Hall '-P 1'
_cell_length_a 5.7450
_cell_length_b 6.9815
_cell_length_c 9.6376
_cell_angle_alpha 109.92
_cell_angle_beta 101.07
_cell_angle_gamma 98.27
loop_
_atom_site_label
_atom_site_type_symbol
_atom_site_fract_x
_atom_site_fract_y
_atom_site_fract_z
_atom_site_occupancy
Sr1 Sr 0.2412 0.1930 0.4453 1
Ca1 Ca 0.4996 0.4185 0.1613 1
V1 V 0.1529 0.8524 0.0636 1
P1 P 0.1099 0.5847 0.2768 1
P2 P 0.3382 0.0300 0.7977 1
O1 O 0.0837 0.4189 0.1135 1
O2 O 0.1231 0.4501 0.6691 1
O3 O 0.1368 0.9689 0.8744 1
O4 O 0.1645 0.8053 0.2713 1
O5 O 0.2273 0.0069 0.6348 1
O6 O 0.3367 0.5549 0.3796 1
O7 O 0.4687 0.1094 0.2022 1
O8 O 0.4919 0.2580 0.9060 1
```